(1)
Theoretical powder diffractogram of Ti2Al5Ni2Pd for Cu Kα (weighted mean of Kα1 and Kα2), from a DFT-relaxed cell (GGA-PBE, Alexandria).
Kinematic intensities with the Lorentz-polarization factor, no thermal factor.

Structural model:
```
20
Lattice="8.781 0.000 0.000 0.000 8.781 0.000 0.000 0.000 3.804" Properties=species:S:1:pos:R:3 pbc="T T T"
Ti 1.576 2.815 0.000
Ti 2.815 7.205 0.000
Ti 5.966 1.576 0.000
Ti 7.205 5.966 0.000
Al 0.000 4.390 1.902
Al 0.576 6.960 1.902
Al 1.821 0.576 1.902
Al 2.569 4.966 1.902
Al 3.815 2.569 1.902
Al 4.390 0.000 1.902
Al 4.966 6.211 1.902
Al 6.211 3.815 1.902
Al 6.960 8.205 1.902
Al 8.205 1.821 1.902
Ni 1.022 5.412 0.000
Ni 3.369 1.022 0.000
Ni 5.412 7.759 0.000
Ni 7.759 3.369 0.000
Pd 0.000 0.000 0.000
Pd 4.390 4.390 0.000
```

Most intense lines, 10 to 80 degrees two-theta, by angle:
- 20.2°, I = 13.7
- 23.4°, I = 30.2
- 32.2°, I = 29.0
- 37.4°, I = 30.3
- 40.2°, I = 100.0
- 42.4°, I = 18.4
- 44.2°, I = 34.2
- 46.2°, I = 11.6
- 47.8°, I = 26.7
- 58.9°, I = 19.4

---

(2)
Theoretical powder diffractogram of Mn3Tl6I14 for Cu Kα (weighted mean of Kα1 and Kα2), from a DFT-relaxed cell (GGA-PBE, Alexandria).
Kinematic intensities with the Lorentz-polarization factor, no thermal factor.

Structural model:
```
23
Lattice="12.380 0.000 0.000 -6.190 10.721 0.000 0.000 0.000 7.530" Properties=species:S:1:pos:R:3 pbc="T T T"
Mn 0.000 0.000 0.000
Mn 0.000 7.147 1.099
Mn 6.190 3.574 3.892
Tl -0.569 3.047 3.050
Tl -3.266 9.690 3.050
Tl 3.254 4.503 7.041
Tl 6.853 0.567 7.041
Tl 3.835 8.705 3.050
Tl 8.462 5.651 7.041
I 0.000 0.000 4.849
I -2.052 6.294 2.658
I -0.357 4.950 7.100
I 1.973 1.532 1.035
I -1.725 8.555 7.100
I 1.765 5.797 2.658
I 4.329 1.871 4.845
I 0.287 9.351 2.658
I 2.082 7.937 7.100
I 6.190 3.574 1.191
I 5.645 6.037 4.845
I 8.595 2.814 4.845
I 10.066 0.943 1.035
I 6.530 8.246 1.035
```

Most intense lines, 10 to 80 degrees two-theta, by angle:
- 14.4°, I = 28.9
- 20.3°, I = 34.8
- 25.0°, I = 72.5
- 25.1°, I = 30.5
- 27.6°, I = 81.2
- 29.0°, I = 32.1
- 30.1°, I = 24.4
- 32.4°, I = 100.0
- 38.5°, I = 25.8
- 57.7°, I = 33.5

---

(3)
Theoretical powder diffractogram of Ac4TlCu3O12 for Cu Kα (weighted mean of Kα1 and Kα2), from a DFT-relaxed cell (GGA-PBE, Alexandria).
Kinematic intensities with the Lorentz-polarization factor, no thermal factor.

Structural model:
```
20
Lattice="-4.039 4.039 4.039 4.039 -4.039 4.039 4.039 4.039 -4.039" Properties=species:S:1:pos:R:3 pbc="T T T"
Ac 2.019 2.019 -2.019
Ac 2.019 -2.019 2.019
Ac -2.019 2.019 2.019
Ac 2.019 2.019 2.019
Tl 0.000 0.000 0.000
Cu 4.039 0.000 0.000
Cu 0.000 4.039 0.000
Cu 0.000 0.000 4.039
O 2.152 0.000 0.000
O 5.925 0.000 0.000
O 4.039 2.019 0.000
O 4.039 0.000 2.019
O 0.000 2.152 0.000
O 0.000 0.000 2.152
O 2.019 4.039 0.000
O 2.019 0.000 4.039
O 0.000 5.925 0.000
O 0.000 0.000 5.925
O 0.000 4.039 2.019
O 0.000 2.019 4.039
```

Most intense lines, 10 to 80 degrees two-theta, by angle:
- 15.5°, I = 5.2
- 22.0°, I = 12.4
- 31.3°, I = 100.0
- 38.6°, I = 11.4
- 44.9°, I = 27.2
- 50.5°, I = 6.6
- 55.8°, I = 40.6
- 65.4°, I = 17.1
- 74.3°, I = 17.8
- 78.6°, I = 4.0

---

(4)
Theoretical powder diffractogram of ZrTi12N6 for Cu Kα (weighted mean of Kα1 and Kα2), from a DFT-relaxed cell (GGA-PBE, Alexandria).
Kinematic intensities with the Lorentz-polarization factor, no thermal factor.

Structural model:
```
19
Lattice="5.067 2.925 2.671 -5.067 2.925 2.671 0.000 -5.851 2.671" Properties=species:S:1:pos:R:3 pbc="T T T"
Zr 0.000 0.000 0.000
Ti -1.882 -3.260 4.006
Ti -3.764 0.000 4.006
Ti -1.326 -0.766 2.889
Ti 1.326 -0.766 2.889
Ti 0.000 1.531 2.889
Ti 1.882 -3.260 4.006
Ti -1.882 3.260 4.006
Ti 0.000 -1.531 5.123
Ti -1.326 0.766 5.123
Ti 1.326 0.766 5.123
Ti 3.764 0.000 4.006
Ti 1.882 3.260 4.006
N 0.000 -2.595 3.102
N -2.247 1.297 3.102
N -2.247 -1.297 4.911
N 2.247 1.297 3.102
N 2.247 -1.297 4.911
N 0.000 2.595 4.911
```

Most intense lines, 10 to 80 degrees two-theta, by angle:
- 29.1°, I = 12.4
- 30.2°, I = 24.0
- 30.6°, I = 23.8
- 38.1°, I = 57.0
- 38.7°, I = 100.0
- 43.5°, I = 21.3
- 46.0°, I = 26.1
- 47.2°, I = 12.5
- 54.3°, I = 16.9
- 57.3°, I = 24.7

---

(5)
Theoretical powder diffractogram of GdSc2Hg for Cu Kα (weighted mean of Kα1 and Kα2), from a DFT-relaxed cell (GGA-PBE, Alexandria).
Kinematic intensities with the Lorentz-polarization factor, no thermal factor.

Structural model:
```
4
Lattice="3.415 0.000 0.000 0.000 3.415 0.000 0.000 0.000 8.606" Properties=species:S:1:pos:R:3 pbc="T T T"
Gd 0.000 0.000 0.000
Sc 1.707 1.707 2.432
Sc 1.707 1.707 6.174
Hg 0.000 0.000 4.303
```

Most intense lines, 10 to 80 degrees two-theta, by angle:
- 20.6°, I = 31.1
- 26.1°, I = 34.0
- 33.5°, I = 100.0
- 37.2°, I = 38.8
- 42.0°, I = 12.1
- 43.0°, I = 20.2
- 50.1°, I = 15.1
- 53.7°, I = 13.4
- 57.4°, I = 19.3
- 64.8°, I = 29.2

---

(6)
Theoretical powder diffractogram of Ca2NiB2Pt5 for Cu Kα (weighted mean of Kα1 and Kα2), from a DFT-relaxed cell (GGA-PBE, Alexandria).
Kinematic intensities with the Lorentz-polarization factor, no thermal factor.

Structural model:
```
20
Lattice="9.525 0.000 0.000 0.000 9.525 0.000 0.000 0.000 3.247" Properties=species:S:1:pos:R:3 pbc="T T T"
Ca 1.688 3.075 0.000
Ca 3.075 7.837 0.000
Ca 6.450 1.688 0.000
Ca 7.837 6.450 0.000
Ni 0.000 0.000 0.000
Ni 4.762 4.762 0.000
B 1.187 5.949 0.000
B 3.575 1.187 0.000
B 5.949 8.338 0.000
B 8.338 3.575 0.000
Pt 0.000 4.762 1.624
Pt 0.644 7.464 1.624
Pt 2.061 0.644 1.624
Pt 2.702 5.407 1.624
Pt 4.118 2.702 1.624
Pt 4.762 0.000 1.624
Pt 5.407 6.823 1.624
Pt 6.823 4.118 1.624
Pt 7.464 8.880 1.624
Pt 8.880 2.061 1.624
```

Most intense lines, 10 to 80 degrees two-theta, by angle:
- 27.5°, I = 94.3
- 29.7°, I = 34.7
- 33.9°, I = 45.2
- 34.7°, I = 46.9
- 39.0°, I = 77.1
- 40.9°, I = 100.0
- 42.4°, I = 44.7
- 44.2°, I = 56.5
- 48.4°, I = 47.0
- 76.6°, I = 42.0

---

(7)
Theoretical powder diffractogram of Sr2NdReN4 for Cu Kα (weighted mean of Kα1 and Kα2), from a DFT-relaxed cell (GGA-PBE, Alexandria).
Kinematic intensities with the Lorentz-polarization factor, no thermal factor.

Structural model:
```
16
Lattice="7.743 0.000 0.000 0.000 7.124 0.000 0.000 0.000 5.652" Properties=species:S:1:pos:R:3 pbc="T T T"
Sr 1.919 1.112 0.000
Sr 1.952 6.011 2.826
Sr 5.791 6.011 2.826
Sr 5.824 1.112 0.000
Nd 0.000 4.651 0.064
Nd 3.872 2.473 2.890
Re 0.000 2.448 3.072
Re 3.872 4.676 0.246
N 0.000 2.491 4.926
N 0.000 4.242 2.502
N 1.589 1.556 2.638
N 2.283 5.568 5.465
N 3.872 2.881 5.328
N 3.872 4.633 2.100
N 5.460 5.568 5.465
N 6.155 1.556 2.638
```

Most intense lines, 10 to 80 degrees two-theta, by angle:
- 20.1°, I = 19.8
- 26.2°, I = 49.7
- 29.6°, I = 72.0
- 30.7°, I = 100.0
- 31.7°, I = 43.1
- 41.5°, I = 24.4
- 44.8°, I = 33.1
- 46.9°, I = 15.5
- 55.8°, I = 49.6
- 56.5°, I = 24.9

---

(8)
Theoretical powder diffractogram of LiNpTe3 for Cu Kα (weighted mean of Kα1 and Kα2), from a DFT-relaxed cell (GGA-PBE, Alexandria).
Kinematic intensities with the Lorentz-polarization factor, no thermal factor.

Structural model:
```
20
Lattice="14.231 0.000 0.000 0.000 6.260 0.000 0.000 0.000 6.258" Properties=species:S:1:pos:R:3 pbc="T T T"
Li 0.009 1.565 0.000
Li 0.009 1.565 3.129
Li 14.222 4.695 0.000
Li 14.222 4.695 3.129
Np 4.687 0.000 1.565
Np 4.687 3.130 4.694
Np 9.544 6.260 4.694
Np 9.544 3.130 1.565
Te 1.648 3.138 4.694
Te 1.648 6.252 1.565
Te 4.018 0.001 4.694
Te 4.018 3.129 1.565
Te 7.116 1.565 0.000
Te 7.116 1.565 3.129
Te 7.116 4.695 0.000
Te 7.116 4.695 3.129
Te 10.213 6.259 1.565
Te 10.213 3.131 4.694
Te 12.583 0.008 4.694
Te 12.583 3.122 1.565
```

Most intense lines, 10 to 80 degrees two-theta, by angle:
- 21.0°, I = 55.4
- 27.6°, I = 38.3
- 28.5°, I = 61.4
- 31.2°, I = 100.0
- 31.4°, I = 43.8
- 34.3°, I = 75.5
- 37.6°, I = 46.3
- 38.3°, I = 31.0
- 40.8°, I = 71.5
- 52.4°, I = 41.8